(1)
Simulated XRD peak list of PdPb4Au for CuKα, from a cell relaxed with PBE.
Peak positions follow from Bragg's law for the DFT cell and can differ from measured ones.

The 10 most intense peaks (15° ≤ 2θ ≤ 90°), by angle:
2θ = 31.72°, rel. 100, hkl 2 1 1
2θ = 35.08°, rel. 28, hkl 1 1 2
2θ = 39.45°, rel. 31, hkl 2 0 2
2θ = 39.73°, rel. 38, hkl 3 1 0
2θ = 54.57°, rel. 22, hkl 2 1 3
2θ = 55.01°, rel. 17, hkl 4 1 1
2θ = 60.33°, rel. 13, hkl 4 0 2
2θ = 63.33°, rel. 22, hkl 3 3 2
2θ = 72.76°, rel. 12, hkl 5 2 1
2θ = 76.87°, rel. 11, hkl 3 1 4

Structural model:
```
data_PdPb4Au
_chemical_formula_sum 'Pd2 Pb8 Au2'
_cell_length_a 7.1736
_cell_length_b 7.1736
_cell_length_c 5.9243
_cell_angle_alpha 90.00
_cell_angle_beta 90.00
_cell_angle_gamma 90.00
_symmetry_space_group_name_H-M 'I 4 2 2'
_symmetry_Int_Tables_number 97
_symmetry_space_group_name_Hall 'I 4 2'
loop_
_atom_site_label
_atom_site_type_symbol
_atom_site_fract_x
_atom_site_fract_y
_atom_site_fract_z
Pd1 Pd 0.0000 0.0000 0.0000
Pb1 Pb 0.1614 0.3386 0.2500
Au1 Au 0.0000 0.0000 0.5000
```

---

(2)
Simulated XRD peak list of ZnICl for CuKα, from a cell relaxed with PBE.
Peak positions follow from Bragg's law for the DFT cell and can differ from measured ones.

The 10 most intense peaks (15° ≤ 2θ ≤ 90°), by angle:
2θ = 22.18°, rel. 23, hkl 1 0 0
2θ = 23.37°, rel. 27, hkl 1 0 1
2θ = 26.65°, rel. 100, hkl 1 0 2
2θ = 34.94°, rel. 27, hkl 1 1 2
2θ = 37.14°, rel. 13, hkl 1 0 4
2θ = 43.68°, rel. 51, hkl 1 1 4
2θ = 45.25°, rel. 24, hkl 2 0 0
2θ = 50.50°, rel. 16, hkl 1 0 6
2θ = 53.29°, rel. 27, hkl 2 1 2
2θ = 82.46°, rel. 16, hkl 3 1 4

Structural model:
```
data_ZnICl
_chemical_formula_sum 'Zn2 I2 Cl2'
_cell_length_a 4.0076
_cell_length_b 4.0076
_cell_length_c 12.1499
_cell_angle_alpha 90.00
_cell_angle_beta 90.00
_cell_angle_gamma 90.00
_symmetry_space_group_name_H-M 'P 42 m c'
_symmetry_Int_Tables_number 105
_symmetry_space_group_name_Hall 'P 4c -2'
loop_
_atom_site_label
_atom_site_type_symbol
_atom_site_fract_x
_atom_site_fract_y
_atom_site_fract_z
Zn1 Zn 0.0000 0.5000 0.0000
I1 I 0.0000 0.0000 0.3632
Cl1 Cl 0.5000 0.5000 0.1040
```

---

(3)
Simulated XRD peak list of Tb2AlNiI2 for CuKα, from a cell relaxed with PBE.
Peak positions follow from Bragg's law for the DFT cell and can differ from measured ones.

The 10 most intense peaks (15° ≤ 2θ ≤ 90°), by angle:
2θ = 24.72°, rel. 10, hkl 1 0 0
2θ = 25.77°, rel. 61, hkl 0 1 1
2θ = 28.69°, rel. 24, hkl 0 1 2
2θ = 33.04°, rel. 100, hkl 0 1 3
2θ = 38.39°, rel. 30, hkl 1 0 4
2θ = 43.53°, rel. 44, hkl 1 1 0
2θ = 43.95°, rel. 12, hkl 0 0 6
2θ = 55.71°, rel. 22, hkl 2 0 3
2θ = 63.58°, rel. 23, hkl 1 1 6
2θ = 73.24°, rel. 20, hkl 1 2 3

Structural model:
```
data_Tb2AlNiI2
_chemical_formula_sum 'Tb2 Al1 Ni1 I2'
_cell_length_a 4.1582
_cell_length_b 4.1582
_cell_length_c 12.3599
_cell_angle_alpha 90.00
_cell_angle_beta 90.00
_cell_angle_gamma 120.00
_symmetry_space_group_name_H-M 'P 3 m 1'
_symmetry_Int_Tables_number 156
_symmetry_space_group_name_Hall 'P 3 -2"'
loop_
_atom_site_label
_atom_site_type_symbol
_atom_site_fract_x
_atom_site_fract_y
_atom_site_fract_z
Tb1 Tb 0.0000 0.0000 0.0000
Tb2 Tb 0.0000 0.0000 0.3076
Al1 Al 0.3333 0.6667 0.1522
Ni1 Ni 0.6667 0.3333 0.1574
I1 I 0.3333 0.6667 0.4773
I2 I 0.6667 0.3333 0.8314
```

---

(4)
Simulated XRD peak list of Co2Si3P for CuKα, from a cell relaxed with PBE.
Peak positions follow from Bragg's law for the DFT cell and can differ from measured ones.

The 5 most intense peaks (15° ≤ 2θ ≤ 90°), by angle:
2θ = 28.97°, rel. 78, hkl 1 0 1
2θ = 48.22°, rel. 100, hkl 2 0 0
2θ = 57.24°, rel. 31, hkl 2 1 1
2θ = 70.58°, rel. 15, hkl 2 2 0
2θ = 78.03°, rel. 11, hkl 3 0 1

Structural model:
```
data_Co2Si3P
_chemical_formula_sum 'Co2 Si3 P1'
_cell_length_a 3.7743
_cell_length_b 3.7743
_cell_length_c 5.3386
_cell_angle_alpha 90.00
_cell_angle_beta 90.00
_cell_angle_gamma 90.00
_symmetry_space_group_name_H-M 'P -4 m 2'
_symmetry_Int_Tables_number 115
_symmetry_space_group_name_Hall 'P -4 -2'
loop_
_atom_site_label
_atom_site_type_symbol
_atom_site_fract_x
_atom_site_fract_y
_atom_site_fract_z
Co1 Co 0.0000 0.5000 0.2428
Si1 Si 0.0000 0.0000 0.5000
Si2 Si 0.5000 0.5000 0.0000
Si3 Si 0.5000 0.5000 0.5000
P1 P 0.0000 0.0000 0.0000
```

---

(5)
Simulated XRD peak list of CsGd2Cu3Te4Se for CuKα, from a cell relaxed with PBE.
Peak positions follow from Bragg's law for the DFT cell and can differ from measured ones.

The 10 most intense peaks (15° ≤ 2θ ≤ 90°), by angle:
2θ = 26.75°, rel. 72, hkl 1 3 0
2θ = 27.02°, rel. 30, hkl 0 2 5
2θ = 27.21°, rel. 100, hkl 1 3 1
2θ = 28.52°, rel. 48, hkl 1 3 2
2θ = 29.41°, rel. 49, hkl 0 0 6
2θ = 33.32°, rel. 55, hkl 1 3 4
2θ = 35.46°, rel. 29, hkl 1 5 0
2θ = 36.85°, rel. 26, hkl 1 5 2
2θ = 41.56°, rel. 54, hkl 2 0 0
2θ = 44.15°, rel. 51, hkl 1 3 7

Structural model:
```
data_CsGd2Cu3Te4Se
_chemical_formula_sum 'Cs4 Gd8 Cu12 Te16 Se4'
_cell_length_a 4.3461
_cell_length_b 15.5703
_cell_length_c 18.2201
_cell_angle_alpha 90.00
_cell_angle_beta 90.00
_cell_angle_gamma 90.00
_symmetry_space_group_name_H-M 'C m c m'
_symmetry_Int_Tables_number 63
_symmetry_space_group_name_Hall '-C 2c 2'
loop_
_atom_site_label
_atom_site_type_symbol
_atom_site_fract_x
_atom_site_fract_y
_atom_site_fract_z
Cs1 Cs 0.0000 0.0688 0.2500
Gd1 Gd 0.0000 0.1948 0.5970
Cu1 Cu 0.0000 0.3368 0.2500
Cu2 Cu 0.0000 0.4166 0.5227
Te1 Te 0.0000 0.1629 0.0699
Te2 Te 0.0000 0.4436 0.1195
Se1 Se 0.0000 0.2371 0.7500
```

---

(6)
Simulated XRD peak list of Zr3Cu4Ge4 for CuKα, from a cell relaxed with PBE.
Peak positions follow from Bragg's law for the DFT cell and can differ from measured ones.

The 10 most intense peaks (15° ≤ 2θ ≤ 90°), by angle:
2θ = 26.77°, rel. 31, hkl 1 1 2
2θ = 30.62°, rel. 27, hkl 0 0 4
2θ = 31.21°, rel. 65, hkl 2 0 0
2θ = 35.86°, rel. 33, hkl 2 1 1
2θ = 41.76°, rel. 24, hkl 1 0 5
2θ = 42.21°, rel. 25, hkl 2 1 3
2θ = 44.29°, rel. 100, hkl 2 0 4
2θ = 44.72°, rel. 47, hkl 2 2 0
2θ = 55.17°, rel. 39, hkl 2 2 4
2θ = 82.12°, rel. 23, hkl 4 2 4

Structural model:
```
data_Zr3Cu4Ge4
_chemical_formula_sum 'Zr6 Cu8 Ge8'
_cell_length_a 5.7320
_cell_length_b 5.7320
_cell_length_c 11.6783
_cell_angle_alpha 90.00
_cell_angle_beta 90.00
_cell_angle_gamma 90.00
_symmetry_space_group_name_H-M 'I -4 2 m'
_symmetry_Int_Tables_number 121
_symmetry_space_group_name_Hall 'I -4 2'
loop_
_atom_site_label
_atom_site_type_symbol
_atom_site_fract_x
_atom_site_fract_y
_atom_site_fract_z
Zr1 Zr 0.0000 0.0000 0.0000
Zr2 Zr 0.0000 0.5000 0.2500
Cu1 Cu 0.1628 0.1628 0.5888
Ge1 Ge 0.0000 0.0000 0.2366
Ge2 Ge 0.0000 0.5000 0.0000
```

---

(7)
Simulated XRD peak list of DyY2Lu4Ni2Te2 for CuKα, from a cell relaxed with PBE.
Peak positions follow from Bragg's law for the DFT cell and can differ from measured ones.

The 10 most intense peaks (15° ≤ 2θ ≤ 90°), by angle:
2θ = 29.12°, rel. 51, hkl 1 3 0
2θ = 30.57°, rel. 80, hkl 1 1 2
2θ = 33.31°, rel. 93, hkl 0 3 3
2θ = 34.38°, rel. 100, hkl 1 4 1
2θ = 34.89°, rel. 77, hkl 0 6 0
2θ = 36.92°, rel. 39, hkl 1 0 3
2θ = 38.79°, rel. 31, hkl 1 2 3
2θ = 47.56°, rel. 33, hkl 2 0 0
2θ = 51.69°, rel. 36, hkl 1 7 2
2θ = 59.30°, rel. 36, hkl 2 3 3

Structural model:
```
data_DyY2Lu4Ni2Te2
_chemical_formula_sum 'Dy2 Y4 Lu8 Ni4 Te4'
_cell_length_a 3.8237
_cell_length_b 15.4071
_cell_length_c 9.4725
_cell_angle_alpha 90.00
_cell_angle_beta 90.00
_cell_angle_gamma 90.00
_symmetry_space_group_name_H-M 'I m m 2'
_symmetry_Int_Tables_number 44
_symmetry_space_group_name_Hall 'I 2 -2'
loop_
_atom_site_label
_atom_site_type_symbol
_atom_site_fract_x
_atom_site_fract_y
_atom_site_fract_z
Dy1 Dy 0.0000 0.0000 0.0000
Y1 Y 0.0000 0.1321 0.4188
Lu1 Lu 0.0000 0.3143 0.6197
Lu2 Lu 0.0000 0.3517 0.2715
Ni1 Ni 0.0000 0.2358 0.9287
Te1 Te 0.0000 0.0000 0.6669
Te2 Te 0.0000 0.5000 0.7632
```

---

(8)
Simulated XRD peak list of Tb2PrCo2B2N3 for CuKα, from a cell relaxed with PBE.
Peak positions follow from Bragg's law for the DFT cell and can differ from measured ones.

The 10 most intense peaks (15° ≤ 2θ ≤ 90°), by angle:
2θ = 28.51°, rel. 100, hkl 1 0 3
2θ = 33.72°, rel. 66, hkl 1 0 5
2θ = 35.67°, rel. 48, hkl 0 0 8
2θ = 35.89°, rel. 39, hkl 1 1 0
2θ = 37.02°, rel. 32, hkl 1 1 2
2θ = 40.25°, rel. 35, hkl 1 1 4
2θ = 45.20°, rel. 26, hkl 1 1 6
2θ = 51.66°, rel. 36, hkl 2 0 0
2θ = 60.06°, rel. 27, hkl 2 1 3
2θ = 64.36°, rel. 33, hkl 2 0 8

Structural model:
```
data_Tb2PrCo2B2N3
_chemical_formula_sum 'Tb4 Pr2 Co4 B4 N6'
_cell_length_a 3.5390
_cell_length_b 3.5390
_cell_length_c 20.1358
_cell_angle_alpha 90.00
_cell_angle_beta 90.00
_cell_angle_gamma 90.00
_symmetry_space_group_name_H-M 'I 4/m m m'
_symmetry_Int_Tables_number 139
_symmetry_space_group_name_Hall '-I 4 2'
loop_
_atom_site_label
_atom_site_type_symbol
_atom_site_fract_x
_atom_site_fract_y
_atom_site_fract_z
Tb1 Tb 0.0000 0.0000 0.1275
Pr1 Pr 0.0000 0.0000 0.5000
Co1 Co 0.0000 0.5000 0.2500
B1 B 0.0000 0.0000 0.3034
N1 N 0.0000 0.0000 0.0000
N2 N 0.0000 0.0000 0.3777
```

---

(9)
Simulated XRD peak list of Hf2ZrAl3Ag2Ir for CuKα, from a cell relaxed with PBE.
Peak positions follow from Bragg's law for the DFT cell and can differ from measured ones.

The 10 most intense peaks (15° ≤ 2θ ≤ 90°), by angle:
2θ = 21.22°, rel. 30, hkl 1 0 0
2θ = 26.23°, rel. 38, hkl 1 1 1
2θ = 26.44°, rel. 40, hkl 0 3 1
2θ = 34.15°, rel. 55, hkl 1 3 1
2θ = 34.30°, rel. 34, hkl 1 0 2
2θ = 37.50°, rel. 38, hkl 1 4 0
2θ = 37.68°, rel. 100, hkl 1 2 2
2θ = 43.20°, rel. 40, hkl 2 0 0
2θ = 46.50°, rel. 42, hkl 0 6 0
2θ = 46.91°, rel. 32, hkl 0 3 3

Structural model:
```
data_Hf2ZrAl3Ag2Ir
_chemical_formula_sum 'Hf4 Zr2 Al6 Ag4 Ir2'
_cell_length_a 4.1879
_cell_length_b 11.7024
_cell_length_c 6.6947
_cell_angle_alpha 90.00
_cell_angle_beta 90.00
_cell_angle_gamma 90.00
_symmetry_space_group_name_H-M 'A m m 2'
_symmetry_Int_Tables_number 38
_symmetry_space_group_name_Hall 'A 2 -2'
loop_
_atom_site_label
_atom_site_type_symbol
_atom_site_fract_x
_atom_site_fract_y
_atom_site_fract_z
Hf1 Hf 0.0000 0.2019 0.0000
Zr1 Zr 0.0000 0.0000 0.3906
Al1 Al 0.5000 0.0000 0.0388
Al2 Al 0.5000 0.1183 0.6778
Ag1 Ag 0.5000 0.1692 0.2972
Ir1 Ir 0.0000 0.0000 0.8047
```

---

(10)
Simulated XRD peak list of KHfCu3S4 for CuKα, from a cell relaxed with PBE.
Peak positions follow from Bragg's law for the DFT cell and can differ from measured ones.

The 10 most intense peaks (15° ≤ 2θ ≤ 90°), by angle:
2θ = 21.08°, rel. 50, hkl 1 1 0
2θ = 25.90°, rel. 21, hkl 1 1 1
2θ = 29.99°, rel. 40, hkl 2 0 0
2θ = 33.63°, rel. 47, hkl 2 1 0
2θ = 36.95°, rel. 23, hkl 2 1 1
2θ = 42.93°, rel. 100, hkl 2 2 0
2θ = 45.68°, rel. 32, hkl 2 2 1
2θ = 55.61°, rel. 21, hkl 3 2 0
2θ = 64.47°, rel. 15, hkl 4 1 0
2θ = 78.66°, rel. 29, hkl 4 2 2

Structural model:
```
data_KHfCu3S4
_chemical_formula_sum 'K1 Hf1 Cu3 S4'
_cell_length_a 5.9589
_cell_length_b 5.9589
_cell_length_c 5.9589
_cell_angle_alpha 90.00
_cell_angle_beta 90.00
_cell_angle_gamma 90.00
_symmetry_space_group_name_H-M 'P -4 3 m'
_symmetry_Int_Tables_number 215
_symmetry_space_group_name_Hall 'P -4 2 3'
loop_
_atom_site_label
_atom_site_type_symbol
_atom_site_fract_x
_atom_site_fract_y
_atom_site_fract_z
K1 K 0.0000 0.0000 0.0000
Hf1 Hf 0.5000 0.5000 0.5000
Cu1 Cu 0.0000 0.5000 0.5000
S1 S 0.2727 0.2727 0.2727
```

---

(11)
Simulated XRD peak list of In2HgOs for CuKα, from a cell relaxed with PBE.
Peak positions follow from Bragg's law for the DFT cell and can differ from measured ones.

The 9 most intense peaks (15° ≤ 2θ ≤ 90°), by angle:
2θ = 22.48°, rel. 7, hkl 1 1 1
2θ = 37.13°, rel. 100, hkl 2 2 0
2θ = 43.84°, rel. 4, hkl 3 1 1
2θ = 53.52°, rel. 17, hkl 4 0 0
2θ = 58.76°, rel. 2, hkl 3 3 1
2θ = 66.93°, rel. 35, hkl 4 2 2
2θ = 71.59°, rel. 1, hkl 5 1 1
2θ = 79.10°, rel. 11, hkl 4 4 0
2θ = 83.50°, rel. 1, hkl 5 3 1

Structural model:
```
data_In2HgOs
_chemical_formula_sum 'In8 Hg4 Os4'
_cell_length_a 6.8492
_cell_length_b 6.8492
_cell_length_c 6.8492
_cell_angle_alpha 90.00
_cell_angle_beta 90.00
_cell_angle_gamma 90.00
_symmetry_space_group_name_H-M 'F -4 3 m'
_symmetry_Int_Tables_number 216
_symmetry_space_group_name_Hall 'F -4 2 3'
loop_
_atom_site_label
_atom_site_type_symbol
_atom_site_fract_x
_atom_site_fract_y
_atom_site_fract_z
In1 In 0.0000 0.0000 0.0000
In2 In 0.2500 0.2500 0.2500
Hg1 Hg 0.2500 0.2500 0.7500
Os1 Os 0.0000 0.0000 0.5000
```

---

(12)
Simulated XRD peak list of Al2ZnSe3S for CuKα, from a cell relaxed with PBE.
Peak positions follow from Bragg's law for the DFT cell and can differ from measured ones.

The 10 most intense peaks (15° ≤ 2θ ≤ 90°), by angle:
2θ = 17.94°, rel. 20, hkl 0 1 0
2θ = 27.80°, rel. 56, hkl 1 -1 1
2θ = 28.13°, rel. 100, hkl -1 1 1
2θ = 28.23°, rel. 51, hkl 1 1 -2
2θ = 45.95°, rel. 23, hkl 2 -2 0
2θ = 46.64°, rel. 64, hkl 2 0 1
2θ = 46.97°, rel. 20, hkl 0 2 1
2θ = 47.14°, rel. 20, hkl 2 0 -3
2θ = 54.61°, rel. 14, hkl 1 -3 2
2θ = 55.10°, rel. 23, hkl 3 1 -1

Structural model:
```
data_Al2ZnSe3S
_chemical_formula_sum 'Al2 Zn1 Se3 S1'
_cell_length_a 5.5419
_cell_length_b 5.5590
_cell_length_c 6.6681
_cell_angle_alpha 114.60
_cell_angle_beta 113.70
_cell_angle_gamma 90.74
_symmetry_space_group_name_H-M 'P 1'
_symmetry_Int_Tables_number 1
_symmetry_space_group_name_Hall 'P 1'
loop_
_atom_site_label
_atom_site_type_symbol
_atom_site_fract_x
_atom_site_fract_y
_atom_site_fract_z
Al1 Al 0.0000 0.0000 0.0000
Al2 Al 0.2428 0.7563 0.5106
Zn1 Zn 0.4889 0.4892 0.0002
Se1 Se 0.3821 0.8961 0.2686
Se2 Se 0.6242 0.6113 0.7346
Se3 Se 0.8724 0.3645 0.2685
S1 S 0.1154 0.1099 0.7503
```